Calculated XRD peak list
Compound: Pr2TmBi2
Radiation: Cu Kα, 1.54184 Å
Structure: DFT lattice parameters and positions (GGA-PBE)
No peak broadening, texture or thermal motion is included.

Crystal structure
Lattice parameters (Å, degrees): 8.2225 8.2225 8.2225 116.32 82.60 133.28
Element x y z (fractional)
Pr 0.1505 0.1464 0.2970
Pr 0.3495 0.6464 0.9959
Pr 0.6505 0.3536 0.0041
Pr 0.8495 0.8536 0.7030
Tm 0.2500 0.7500 0.5000
Tm 0.7500 0.2500 0.5000
Bi 0.1078 0.7752 0.8830
Bi 0.3922 0.2752 0.6675
Bi 0.6078 0.7248 0.3325
Bi 0.8922 0.2248 0.1170

Main lines, in order of rising 2θ (2θ from 15° to 90°):
2θ = 20.47°, intensity 40
2θ = 22.32°, intensity 47
2θ = 23.92°, intensity 81
2θ = 27.35°, intensity 62
2θ = 30.16°, intensity 71
2θ = 31.78°, intensity 67
2θ = 33.73°, intensity 49
2θ = 34.41°, intensity 100
2θ = 35.68°, intensity 77
2θ = 36.99°, intensity 86
2θ = 40.22°, intensity 96
2θ = 47.47°, intensity 59

Calculated XRD peak list
Compound: Mg4TlIn
Radiation: Cu Kα, 1.54184 Å
Structure: DFT lattice parameters and positions (GGA-PBE)
No peak broadening, texture or thermal motion is included.

Crystal structure
Lattice parameters (Å, degrees): 4.8331 4.8331 8.3723 106.39 106.39 59.95
Element x y z (fractional)
Mg 0.1256 0.1256 0.3732
Mg 0.3731 0.3731 0.1237
Mg 0.6269 0.6269 0.8763
Mg 0.8744 0.8744 0.6268
Tl 0.5000 0.5000 0.5000
In 0.0000 0.0000 0.0000

Main lines, in order of rising 2θ (2θ from 15° to 90°):
2θ = 22.46°, intensity 82
2θ = 22.56°, intensity 82
2θ = 26.01°, intensity 26
2θ = 36.98°, intensity 20
2θ = 37.22°, intensity 100
2θ = 43.76°, intensity 29
2θ = 43.95°, intensity 43
2θ = 44.04°, intensity 14
2θ = 53.49°, intensity 14
2θ = 58.96°, intensity 18
2θ = 66.79°, intensity 14
2θ = 67.11°, intensity 21

Calculated XRD peak list
Compound: Nd6DySn4
Radiation: Cu Kα, 1.54184 Å
Structure: DFT lattice parameters and positions (GGA-PBE)
No peak broadening, texture or thermal motion is included.

Crystal structure
Lattice parameters (Å, degrees): 8.3031 8.3031 8.3031 122.12 122.12 86.37
Element x y z (fractional)
Nd 0.0000 0.5000 0.5000
Nd 0.1764 0.1764 0.6807
Nd 0.4957 0.4957 0.3193
Nd 0.5000 0.0000 0.5000
Nd 0.5043 0.8236 0.0000
Nd 0.8236 0.5043 0.0000
Dy 0.0000 0.0000 0.0000
Sn 0.1697 0.6314 0.0000
Sn 0.3686 0.3686 0.5383
Sn 0.6314 0.1697 0.0000
Sn 0.8303 0.8303 0.4617

Main lines, in order of rising 2θ (2θ from 15° to 90°):
2θ = 24.68°, intensity 74
2θ = 25.86°, intensity 96
2θ = 26.63°, intensity 45
2θ = 31.49°, intensity 86
2θ = 33.54°, intensity 63
2θ = 34.29°, intensity 47
2θ = 34.88°, intensity 58
2θ = 37.19°, intensity 100
2θ = 38.42°, intensity 47
2θ = 45.14°, intensity 31
2θ = 59.86°, intensity 34
2θ = 60.72°, intensity 34

Calculated XRD peak list
Compound: CsInGa2I8
Radiation: Cu Kα, 1.54184 Å
Structure: DFT lattice parameters and positions (GGA-PBE)
No peak broadening, texture or thermal motion is included.

Crystal structure
Lattice parameters (Å, degrees): 12.0680 12.0680 12.0680 37.37 37.37 37.37
Element x y z (fractional)
Cs 0.0000 0.0000 0.0000
In 0.5000 0.5000 0.5000
Ga 0.2547 0.2547 0.2547
Ga 0.7453 0.7453 0.7453
I 0.0672 0.8094 0.4349
I 0.1906 0.5651 0.9328
I 0.3313 0.3313 0.3313
I 0.4349 0.0672 0.8094
I 0.5651 0.9328 0.1906
I 0.6687 0.6687 0.6687
I 0.8094 0.4349 0.0672
I 0.9328 0.1906 0.5651

Main lines, in order of rising 2θ (2θ from 15° to 90°):
2θ = 16.93°, intensity 18
2θ = 23.81°, intensity 30
2θ = 24.35°, intensity 100
2θ = 25.01°, intensity 11
2θ = 28.04°, intensity 79
2θ = 39.72°, intensity 42
2θ = 40.41°, intensity 43
2θ = 46.84°, intensity 16
2θ = 47.44°, intensity 21
2θ = 47.74°, intensity 12
2θ = 49.90°, intensity 12
2θ = 57.95°, intensity 12